For Li4Ge5O12, a cell relaxed with GGA-PBE gives the calculated XRD peak list in this record (a wavelength of 1.5418 Å).
Neutral-atom scattering factors, no anomalous dispersion.

```
Li4Ge5O12
1.0
5.206 0.000 0.000
1.794 9.131 0.000
2.070 2.499 9.195
Li Ge O
8 10 24
Direct
0.139 0.407 0.405
0.273 0.906 0.023
0.312 0.768 0.556
0.349 0.576 0.112
0.651 0.424 0.888
0.688 0.232 0.444
0.727 0.094 0.977
0.861 0.593 0.595
0.117 0.594 0.852
0.189 0.255 0.935
0.193 0.100 0.683
0.260 0.096 0.268
0.408 0.421 0.645
0.592 0.579 0.355
0.740 0.904 0.732
0.807 0.900 0.317
0.811 0.745 0.065
0.883 0.406 0.148
0.050 0.259 0.302
0.051 0.432 0.775
0.091 0.936 0.371
0.103 0.101 0.867
0.149 0.732 0.951
0.233 0.423 0.013
0.267 0.567 0.484
0.319 0.263 0.569
0.346 0.100 0.082
0.439 0.938 0.661
0.443 0.580 0.730
0.488 0.728 0.189
0.512 0.272 0.811
0.557 0.420 0.270
0.561 0.062 0.339
0.654 0.900 0.918
0.681 0.737 0.431
0.733 0.433 0.516
0.767 0.577 0.987
0.851 0.268 0.049
0.897 0.899 0.133
0.909 0.064 0.629
0.949 0.568 0.225
0.950 0.741 0.698
```

Most intense lines, 5 to 70 degrees two-theta, by angle:
2θ = 18.64°, I 1000; 2θ = 19.03°, I 199; 2θ = 19.30°, I 248; 2θ = 21.51°, I 303; 2θ = 24.92°, I 229; 2θ = 31.57°, I 310; 2θ = 36.26°, I 365; 2θ = 37.79°, I 201; 2θ = 40.53°, I 320; 2θ = 43.14°, I 247



For Li6Ge2O7, a cell relaxed with GGA-PBE gives the calculated XRD peak list in this record (a wavelength of 1.5418 Å).
Neutral-atom scattering factors, no anomalous dispersion.

```
Li6Ge2O7
1.0
8.182 0.000 0.000
0.000 5.371 0.000
-7.430 0.000 14.379
Li Ge O
24 8 28
Direct
0.009 0.194 0.457
0.009 0.306 0.957
0.127 0.668 0.257
0.127 0.832 0.757
0.179 0.013 0.379
0.179 0.487 0.879
0.261 0.647 0.484
0.261 0.853 0.984
0.346 0.130 0.884
0.346 0.370 0.384
0.400 0.719 0.195
0.400 0.781 0.695
0.600 0.219 0.305
0.600 0.281 0.805
0.654 0.630 0.616
0.654 0.870 0.116
0.739 0.147 0.016
0.739 0.353 0.516
0.821 0.513 0.121
0.821 0.987 0.621
0.873 0.168 0.243
0.873 0.332 0.743
0.991 0.694 0.043
0.991 0.806 0.543
0.156 0.172 0.169
0.156 0.328 0.669
0.439 0.149 0.587
0.439 0.351 0.087
0.561 0.649 0.913
0.561 0.851 0.413
0.844 0.672 0.331
0.844 0.828 0.831
0.020 0.676 0.928
0.020 0.824 0.428
0.129 0.228 0.767
0.129 0.272 0.267
0.160 0.653 0.660
0.160 0.847 0.160
0.268 0.222 0.983
0.268 0.278 0.483
0.338 0.730 0.380
0.338 0.770 0.880
0.382 0.212 0.684
0.382 0.288 0.184
0.442 0.677 0.089
0.442 0.823 0.589
0.558 0.177 0.411
0.558 0.323 0.911
0.618 0.712 0.816
0.618 0.788 0.316
0.662 0.230 0.120
0.662 0.270 0.620
0.732 0.722 0.517
0.732 0.778 0.017
0.840 0.153 0.840
0.840 0.347 0.340
0.871 0.728 0.733
0.871 0.772 0.233
0.980 0.176 0.572
0.980 0.324 0.072
```

Most intense lines, 5 to 70 degrees two-theta, by angle:
2θ = 19.78°, I 207; 2θ = 20.61°, I 1000; 2θ = 20.99°, I 455; 2θ = 25.64°, I 267; 2θ = 27.43°, I 134; 2θ = 32.63°, I 236; 2θ = 33.15°, I 202; 2θ = 33.36°, I 216; 2θ = 34.07°, I 191; 2θ = 59.16°, I 137